Starting from a crystal structure in Alexandria, relaxed with PBE+U, the powder diffraction line list of Tl3Ni2HgF9 was computed for copper Kα.

The 10 most intense peaks (2θ = 5–70°), low angle first:
Position (°2θ)	d_spacing	I/Imax
20.72	4.286	18
29.29	3.049	100
29.65	3.013	94
42.17	2.143	59
51.72	1.767	20
52.40	1.746	40
52.62	1.739	20
60.75	1.524	18
61.57	1.506	18
69.62	1.350	18

Structure:
```
data_Tl3Ni2HgF9
_chemical_formula_sum 'Tl3 Ni2 Hg1 F9'
_cell_length_a 6.0251
_cell_length_b 6.0251
_cell_length_c 7.5142
_cell_angle_alpha 90.00
_cell_angle_beta 90.00
_cell_angle_gamma 120.00
_symmetry_space_group_name_H-M 'P -3 m 1'
_symmetry_Int_Tables_number 164
_symmetry_space_group_name_Hall '-P 3 2"'
loop_
_atom_site_label
_atom_site_type_symbol
_atom_site_fract_x
_atom_site_fract_y
_atom_site_fract_z
_atom_site_occupancy
Tl1 Tl 0.0000 0.0000 0.0000 1
Tl2 Tl 0.3333 0.6667 0.6748 1
Ni1 Ni 0.3333 0.6667 0.1521 1
Hg1 Hg 0.0000 0.0000 0.5000 1
F1 F 0.0000 0.5000 0.0000 1
F2 F 0.1765 0.3529 0.3109 1
```

---

Starting from a crystal structure in Alexandria, relaxed with PBE+U, the powder diffraction line list of ZnNi2HgF8 was computed for copper Kα.

The 10 most intense peaks (2θ = 5–70°), low angle first:
Position (°2θ)	d_spacing	I/Imax
13.53	6.544	23
25.55	3.486	100
25.89	3.442	89
32.86	2.725	68
32.98	2.716	70
37.94	2.371	31
49.81	1.831	35
50.04	1.823	35
50.18	1.818	29
50.42	1.810	30

Structure:
```
data_ZnNi2HgF8
_chemical_formula_sum 'Zn1 Ni2 Hg1 F8'
_cell_length_a 4.8725
_cell_length_b 6.5438
_cell_length_c 4.9251
_cell_angle_alpha 90.00
_cell_angle_beta 90.73
_cell_angle_gamma 90.00
_symmetry_space_group_name_H-M 'P 1 2/m 1'
_symmetry_Int_Tables_number 10
loop_
_symmetry_equiv_pos_as_xyz
'x,y,z'
'-x,-y,-z'
'-x,y,-z'
'x,-y,z'
loop_
_atom_site_label
_atom_site_type_symbol
_atom_site_fract_x
_atom_site_fract_y
_atom_site_fract_z
_atom_site_occupancy
Zn1 Zn 0.0000 0.0000 0.0000 1
Ni1 Ni 0.5000 0.2393 0.5000 1
Hg1 Hg 0.0000 0.5000 0.0000 1
F1 F 0.2120 0.2226 0.2050 1
F2 F 0.3036 0.0000 0.6898 1
F3 F 0.3229 0.5000 0.6691 1
```